Record 1
The following is a calculated powder diffraction line list of La2Nd2Y. It was derived from DFT lattice parameters and positions (GGA-PBE), using λ = 1.5418 Å (Cu Kα).
Neutral-atom scattering factors, no anomalous dispersion.

Largest 10 diffraction maxima, in order of falling intensity, 2θ from 10° to 90°:
29.87 deg, rel. 1000
30.21 deg, rel. 778
32.24 deg, rel. 709
60.43 deg, rel. 267
46.23 deg, rel. 218
39.56 deg, rel. 202
51.94 deg, rel. 183
33.48 deg, rel. 182
56.07 deg, rel. 168
26.94 deg, rel. 138

Atomic structure:
```
La2Nd2Y
1.0
5.548 0.000 0.000
0.000 3.567 0.000
-2.759 0.000 8.881
La Nd Y
2 2 1
Direct
0.198 0.000 0.395
0.802 0.000 0.605
0.399 0.500 0.799
0.601 0.500 0.201
0.000 0.000 0.000
```

Record 2
The following is a calculated powder diffraction line list of LaNd4Y8. It was derived from DFT lattice parameters and positions (GGA-PBE), using λ = 1.5418 Å (Cu Kα).
Neutral-atom scattering factors, no anomalous dispersion.

Largest 10 diffraction maxima, in order of falling intensity, 2θ from 10° to 90°:
32.10 deg, rel. 1000
57.22 deg, rel. 362
19.49 deg, rel. 220
46.03 deg, rel. 178
76.36 deg, rel. 146
37.83 deg, rel. 122
67.13 deg, rel. 109
25.25 deg, rel. 63
50.43 deg, rel. 54
15.89 deg, rel. 54

Atomic structure:
```
LaNd4Y8
1.0
7.887 0.000 0.000
0.000 7.887 0.000
0.000 0.000 7.887
La Nd Y
1 4 8
Direct
0.000 0.000 0.000
0.000 0.000 0.500
0.000 0.500 0.000
0.500 0.000 0.000
0.500 0.500 0.500
0.261 0.261 0.261
0.261 0.261 0.739
0.261 0.739 0.261
0.261 0.739 0.739
0.739 0.261 0.261
0.739 0.261 0.739
0.739 0.739 0.261
0.739 0.739 0.739
```

Record 3
The following is a calculated powder diffraction line list of La5Nd2Y3. It was derived from DFT lattice parameters and positions (GGA-PBE), using λ = 1.5418 Å (Cu Kα).
Neutral-atom scattering factors, no anomalous dispersion.

Largest 10 diffraction maxima, in order of falling intensity, 2θ from 10° to 90°:
30.73 deg, rel. 1000
28.75 deg, rel. 872
32.06 deg, rel. 455
48.49 deg, rel. 203
56.32 deg, rel. 177
33.34 deg, rel. 169
20.54 deg, rel. 168
31.78 deg, rel. 148
68.98 deg, rel. 144
61.37 deg, rel. 119

Atomic structure:
```
La5Nd2Y3
1.0
5.583 -7.421 0.000
5.583 7.421 0.000
-5.554 0.000 8.649
La Nd Y
10 4 6
Direct
0.013 0.987 0.750
0.126 0.384 0.754
0.222 0.778 0.750
0.384 0.126 0.254
0.475 0.525 0.250
0.525 0.475 0.750
0.616 0.874 0.746
0.778 0.222 0.250
0.874 0.616 0.246
0.987 0.013 0.250
0.029 0.283 0.064
0.283 0.029 0.564
0.717 0.971 0.436
0.971 0.717 0.936
0.223 0.475 0.446
0.267 0.733 0.250
0.475 0.223 0.946
0.525 0.777 0.054
0.733 0.267 0.750
0.777 0.525 0.554
```

Record 4
The following is a calculated powder diffraction line list of LaNd7Y3. It was derived from DFT lattice parameters and positions (GGA-PBE), using λ = 1.5418 Å (Cu Kα).
Neutral-atom scattering factors, no anomalous dispersion.

Largest 10 diffraction maxima, in order of falling intensity, 2θ from 10° to 90°:
30.16 deg, rel. 1000
30.90 deg, rel. 515
32.81 deg, rel. 364
36.62 deg, rel. 345
62.82 deg, rel. 248
49.98 deg, rel. 244
14.96 deg, rel. 106
64.38 deg, rel. 98
51.80 deg, rel. 96
22.96 deg, rel. 95

Atomic structure:
```
LaNd7Y3
1.0
5.951 -5.120 0.000
5.951 5.120 0.000
-0.645 0.000 6.475
La Nd Y
1 7 3
Direct
0.000 0.000 0.000
0.000 0.000 0.500
0.076 0.426 0.759
0.264 0.264 0.288
0.426 0.076 0.759
0.574 0.924 0.241
0.736 0.736 0.712
0.924 0.574 0.241
0.330 0.670 0.500
0.500 0.500 0.000
0.670 0.330 0.500
```

Record 5
The following is a calculated powder diffraction line list of La7Nd16Y6. It was derived from DFT lattice parameters and positions (GGA-PBE), using λ = 1.5418 Å (Cu Kα).
Neutral-atom scattering factors, no anomalous dispersion.

Largest 10 diffraction maxima, in order of falling intensity, 2θ from 10° to 90°:
31.60 deg, rel. 1000
28.97 deg, rel. 290
56.28 deg, rel. 189
33.09 deg, rel. 137
57.23 deg, rel. 120
45.30 deg, rel. 112
37.24 deg, rel. 102
80.18 deg, rel. 98
52.02 deg, rel. 98
69.43 deg, rel. 88

Atomic structure:
```
La7Nd16Y6
1.0
0.000 8.008 8.008
8.008 0.000 8.008
8.008 8.008 0.000
La Nd Y
7 16 6
Direct
0.000 0.000 0.000
0.000 0.000 0.500
0.000 0.500 0.000
0.000 0.500 0.500
0.500 0.000 0.000
0.500 0.000 0.500
0.500 0.500 0.000
0.032 0.656 0.656
0.122 0.122 0.122
0.122 0.122 0.635
0.122 0.635 0.122
0.344 0.344 0.344
0.344 0.344 0.968
0.344 0.968 0.344
0.365 0.878 0.878
0.635 0.122 0.122
0.656 0.032 0.656
0.656 0.656 0.032
0.656 0.656 0.656
0.878 0.365 0.878
0.878 0.878 0.365
0.878 0.878 0.878
0.968 0.344 0.344
0.297 0.297 0.703
0.297 0.703 0.297
0.297 0.703 0.703
0.703 0.297 0.297
0.703 0.297 0.703
0.703 0.703 0.297
```

Record 6
The following is a calculated powder diffraction line list of La6Nd3Zn. It was derived from DFT lattice parameters and positions (GGA-PBE), using λ = 1.5418 Å (Cu Kα).
Neutral-atom scattering factors, no anomalous dispersion.

Largest 10 diffraction maxima, in order of falling intensity, 2θ from 10° to 90°:
28.85 deg, rel. 1000
31.01 deg, rel. 678
32.61 deg, rel. 628
30.08 deg, rel. 619
27.57 deg, rel. 293
34.32 deg, rel. 285
54.16 deg, rel. 229
48.07 deg, rel. 220
35.09 deg, rel. 206
55.91 deg, rel. 155

Atomic structure:
```
La6Nd3Zn
1.0
10.596 0.000 0.000
0.000 12.014 0.000
0.000 0.000 5.491
La Nd Zn
12 6 2
Direct
0.074 0.243 0.000
0.162 0.072 0.500
0.224 0.385 0.500
0.276 0.885 0.000
0.338 0.572 0.000
0.426 0.743 0.500
0.574 0.257 0.500
0.662 0.428 0.000
0.724 0.115 0.000
0.776 0.615 0.500
0.838 0.928 0.500
0.926 0.757 0.000
0.000 0.500 0.000
0.116 0.711 0.500
0.384 0.211 0.000
0.500 0.000 0.500
0.616 0.789 0.000
0.884 0.289 0.500
0.000 0.000 0.000
0.500 0.500 0.500
```

Record 7
The following is a calculated powder diffraction line list of LaNd2Zn2. It was derived from DFT lattice parameters and positions (GGA-PBE), using λ = 1.5418 Å (Cu Kα).
Neutral-atom scattering factors, no anomalous dispersion.

Largest 10 diffraction maxima, in order of falling intensity, 2θ from 10° to 90°:
29.26 deg, rel. 1000
28.18 deg, rel. 324
38.28 deg, rel. 293
40.16 deg, rel. 256
36.21 deg, rel. 189
56.69 deg, rel. 186
36.35 deg, rel. 180
33.44 deg, rel. 170
35.79 deg, rel. 151
35.61 deg, rel. 150

Atomic structure:
```
LaNd2Zn2
1.0
4.703 0.000 0.000
0.000 4.491 0.000
-2.277 0.000 13.395
La Nd Zn
2 4 4
Direct
0.136 0.250 0.270
0.864 0.750 0.730
0.237 0.750 0.472
0.447 0.250 0.892
0.553 0.750 0.108
0.763 0.250 0.528
0.022 0.250 0.045
0.329 0.250 0.663
0.671 0.750 0.337
0.978 0.750 0.955
```

Record 8
The following is a calculated powder diffraction line list of La7Nd2Zn2. It was derived from DFT lattice parameters and positions (GGA-PBE), using λ = 1.5418 Å (Cu Kα).
Neutral-atom scattering factors, no anomalous dispersion.

Largest 10 diffraction maxima, in order of falling intensity, 2θ from 10° to 90°:
32.34 deg, rel. 1000
28.81 deg, rel. 658
26.83 deg, rel. 462
31.61 deg, rel. 391
35.10 deg, rel. 340
34.78 deg, rel. 298
28.17 deg, rel. 230
48.02 deg, rel. 178
51.50 deg, rel. 141
53.21 deg, rel. 138

Atomic structure:
```
La7Nd2Zn2
1.0
-1.895 8.692 5.662
1.895 -8.692 5.662
1.895 8.692 -5.662
La Nd Zn
7 2 2
Direct
0.000 0.000 0.000
0.142 0.782 0.360
0.422 0.782 0.640
0.467 0.567 0.900
0.648 0.323 0.326
0.667 0.567 0.100
0.997 0.323 0.674
0.280 0.056 0.224
0.833 0.056 0.776
0.316 0.316 0.000
0.754 0.254 0.500
```

Record 9
The following is a calculated powder diffraction line list of La3Nd3Zn2. It was derived from DFT lattice parameters and positions (GGA-PBE), using λ = 1.5418 Å (Cu Kα).
Neutral-atom scattering factors, no anomalous dispersion.

Largest 10 diffraction maxima, in order of falling intensity, 2θ from 10° to 90°:
29.11 deg, rel. 1000
32.94 deg, rel. 516
34.39 deg, rel. 486
28.23 deg, rel. 391
33.70 deg, rel. 281
30.51 deg, rel. 268
30.40 deg, rel. 219
58.12 deg, rel. 208
58.38 deg, rel. 175
46.62 deg, rel. 165

Atomic structure:
```
La3Nd3Zn2
1.0
2.608 -5.961 0.000
2.608 5.961 0.000
0.000 0.000 16.003
La Nd Zn
6 6 4
Direct
0.031 0.969 0.610
0.031 0.969 0.890
0.288 0.712 0.750
0.712 0.288 0.250
0.969 0.031 0.110
0.969 0.031 0.390
0.352 0.648 0.526
0.352 0.648 0.974
0.442 0.558 0.250
0.558 0.442 0.750
0.648 0.352 0.026
0.648 0.352 0.474
0.235 0.765 0.138
0.235 0.765 0.362
0.765 0.235 0.638
0.765 0.235 0.862
```

Record 10
The following is a calculated powder diffraction line list of La12NdZn6. It was derived from DFT lattice parameters and positions (GGA-PBE), using λ = 1.5418 Å (Cu Kα).
Neutral-atom scattering factors, no anomalous dispersion.

Largest 10 diffraction maxima, in order of falling intensity, 2θ from 10° to 90°:
33.26 deg, rel. 1000
34.00 deg, rel. 902
31.35 deg, rel. 748
24.59 deg, rel. 590
32.63 deg, rel. 486
34.90 deg, rel. 427
55.07 deg, rel. 261
41.92 deg, rel. 215
61.54 deg, rel. 207
48.62 deg, rel. 196

Atomic structure:
```
La12NdZn6
1.0
5.702 3.292 4.967
-5.702 3.292 4.967
0.000 -6.584 4.967
La Nd Zn
12 1 6
Direct
0.047 0.929 0.314
0.071 0.686 0.953
0.106 0.473 0.336
0.314 0.047 0.929
0.336 0.106 0.473
0.473 0.336 0.106
0.527 0.664 0.894
0.664 0.894 0.527
0.686 0.953 0.071
0.894 0.527 0.664
0.929 0.314 0.047
0.953 0.071 0.686
0.500 0.500 0.500
0.241 0.758 0.610
0.242 0.390 0.759
0.390 0.759 0.242
0.610 0.241 0.758
0.758 0.610 0.241
0.759 0.242 0.390
```

Record 11
The following is a calculated powder diffraction line list of LaNd4Zn2. It was derived from DFT lattice parameters and positions (GGA-PBE), using λ = 1.5418 Å (Cu Kα).
Neutral-atom scattering factors, no anomalous dispersion.

Largest 10 diffraction maxima, in order of falling intensity, 2θ from 10° to 90°:
24.96 deg, rel. 1000
35.80 deg, rel. 898
35.39 deg, rel. 890
64.06 deg, rel. 312
51.22 deg, rel. 309
44.14 deg, rel. 219
58.08 deg, rel. 196
57.51 deg, rel. 179
64.33 deg, rel. 160
63.26 deg, rel. 143

Atomic structure:
```
LaNd4Zn2
1.0
2.508 1.448 10.414
-2.508 1.448 10.414
0.000 -2.896 10.414
La Nd Zn
1 4 2
Direct
0.000 0.000 0.000
0.202 0.202 0.202
0.395 0.395 0.395
0.605 0.605 0.605
0.798 0.798 0.798
0.100 0.100 0.100
0.900 0.900 0.900
```

Record 12
The following is a calculated powder diffraction line list of LaNd2Zn2. It was derived from DFT lattice parameters and positions (GGA-PBE), using λ = 1.5418 Å (Cu Kα).
Neutral-atom scattering factors, no anomalous dispersion.

Largest 10 diffraction maxima, in order of falling intensity, 2θ from 10° to 90°:
33.35 deg, rel. 1000
59.61 deg, rel. 194
32.60 deg, rel. 145
25.57 deg, rel. 131
47.34 deg, rel. 101
70.05 deg, rel. 86
60.07 deg, rel. 79
48.42 deg, rel. 76
80.65 deg, rel. 59
65.21 deg, rel. 55

Atomic structure:
```
LaNd2Zn2
1.0
3.759 0.000 0.000
0.000 5.373 0.000
-1.884 0.000 13.732
La Nd Zn
2 4 4
Direct
0.142 0.250 0.283
0.858 0.750 0.717
0.047 0.750 0.094
0.231 0.750 0.464
0.769 0.250 0.536
0.953 0.250 0.906
0.360 0.250 0.720
0.453 0.750 0.907
0.547 0.250 0.093
0.640 0.750 0.280
```